Zn4MoF12: computed XRD peak list (Cu Kα (weighted mean of Kα1 and Kα2)), based on a PBE+U-relaxed structure.
Lines closer than 0.1° are merged.

Principal peaks in the range 10° ≤ 2θ ≤ 90°, in order of rising 2θ:
2θ 15.30, I = 70; 2θ 16.20, I = 86; 2θ 21.70, I = 85; 2θ 27.20, I = 28; 2θ 30.88, I = 50; 2θ 32.74, I = 100; 2θ 35.06, I = 26; 2θ 44.23, I = 58; 2θ 56.11, I = 59; 2θ 59.59, I = 39

Cell and atoms:
Cell: 6.859 6.859 6.859 Å, 115.22 106.72 106.63°
Atoms (fractional coordinates):
1 Zn 0.000 0.000 0.500
2 Zn 0.000 0.500 0.000
3 Zn 0.500 0.000 0.000
4 Zn 0.500 0.500 0.500
5 Mo 0.000 0.000 0.000
6 F 0.001 0.699 0.302
7 F 0.212 0.044 0.832
8 F 0.212 0.168 0.380
9 F 0.212 0.380 0.168
10 F 0.212 0.832 0.044
11 F 0.397 0.699 0.698
12 F 0.603 0.301 0.302
13 F 0.788 0.168 0.956
14 F 0.788 0.620 0.832
15 F 0.788 0.832 0.620
16 F 0.788 0.956 0.168
17 F 0.999 0.301 0.698